Diffraction record for K2ZnH8N4. The powder X-ray diffraction pattern is calculated, not measured: it uses a PBE-relaxed structure and Cu Kα, 1.54184 Å.
Lines closer than 0.1° are merged.

Largest 10 diffraction maxima, in order of falling intensity, 10° ≤ 2θ ≤ 80°:
d/Å, Position (°2θ), Rel. int., index
3.861, 23.0, 100, 0 0 2
4.762, 18.6, 98, 1 0 1
2.350, 38.3, 90, -1 2 2
4.947, 17.9, 88, 1 0 -1
5.921, 15.0, 75, 1 1 0
2.961, 30.2, 72, 2 2 0
3.130, 28.5, 61, 1 2 2
3.227, 27.6, 60, 1 0 2
2.464, 36.5, 59, 1 -2 0
3.001, 29.8, 59, -1 1 2

Structural model:
```
data_K2ZnH8N4
_chemical_formula_sum 'K4 Zn2 H16 N8'
_cell_length_a 6.9321
_cell_length_b 7.5002
_cell_length_c 8.1304
_cell_angle_alpha 71.96
_cell_angle_beta 84.18
_cell_angle_gamma 64.18
_symmetry_space_group_name_H-M 'P -1'
_symmetry_Int_Tables_number 2
_symmetry_space_group_name_Hall '-P 1'
loop_
_atom_site_label
_atom_site_type_symbol
_atom_site_fract_x
_atom_site_fract_y
_atom_site_fract_z
K1 K 0.1936 0.0742 0.3124
K2 K 0.2483 0.0024 0.8606
Zn1 Zn 0.2766 0.6068 0.2350
H1 H 0.0134 0.3597 0.5407
H2 H 0.0159 0.6022 0.0513
H3 H 0.1834 0.6645 0.5218
H4 H 0.2136 0.6121 0.9370
H5 H 0.4042 0.3335 0.7128
H6 H 0.4036 0.7071 0.6466
H7 H 0.4057 0.2444 0.4524
H8 H 0.4195 0.2988 0.9162
N1 N 0.0751 0.7256 0.4190
N2 N 0.0988 0.6928 0.0108
N3 N 0.4567 0.2867 0.3290
N4 N 0.4875 0.7460 0.1838
```